[1]
Starting from a DFT-relaxed cell (GGA-PBE, Alexandria), the XRD peak list of CaTlCl2 was computed for Cu Kα (weighted mean of Kα1 and Kα2).
Kinematic intensities with the Lorentz-polarization factor, no thermal factor.

Main lines, most intense first (10° ≤ 2θ ≤ 90°):
2θ/deg  d_spacing  I (rel.)
26.0  3.423  100
26.5  3.360  96
34.9  2.567  81
17.3  5.137  73
49.1  1.854  42
39.2  2.296  40
28.4  3.143  38
45.6  1.988  35

Structural model:
```
data_CaTlCl2
_cell_length_a 3.9756
_cell_length_b 3.9756
_cell_length_c 30.8220
_cell_angle_alpha 90.00
_cell_angle_beta 90.00
_cell_angle_gamma 120.00
_space_group_name_H-M_alt 'R -3 m'
_space_group_IT_number 166
_space_group_name_Hall '-R 3 2"'
loop_
_atom_site_label
_atom_site_type_symbol
_atom_site_fract_x
_atom_site_fract_y
_atom_site_fract_z
Ca1 Ca 0.0000 0.0000 0.0000
Tl1 Tl 0.0000 0.0000 0.5000
Cl1 Cl 0.0000 0.0000 0.3814
```

---

[2]
Starting from a DFT-relaxed cell (GGA-PBE, Alexandria), the XRD peak list of CaTmCl was computed for Cu Kα (weighted mean of Kα1 and Kα2).
Kinematic intensities with the Lorentz-polarization factor, no thermal factor.

Main lines, most intense first (10° ≤ 2θ ≤ 90°):
2θ/deg  d_spacing  I (rel.)
34.2  2.624  100
28.5  3.131  72
12.3  7.209  68
31.1  2.872  66
50.5  1.808  31
42.6  2.121  31
60.5  1.531  28
53.2  1.721  27

Structural model:
```
data_CaTmCl
_cell_length_a 14.4172
_cell_length_b 3.6158
_cell_length_c 6.2622
_cell_angle_alpha 90.00
_cell_angle_beta 90.00
_cell_angle_gamma 90.00
_space_group_name_H-M_alt 'A m m 2'
_space_group_IT_number 38
_space_group_name_Hall 'A 2 -2'
loop_
_atom_site_label
_atom_site_type_symbol
_atom_site_fract_x
_atom_site_fract_y
_atom_site_fract_z
Ca1 Ca 0.0000 0.0000 0.0000
Ca2 Ca 0.5000 0.0000 0.3343
Tm1 Tm 0.2937 0.0000 0.0009
Cl1 Cl 0.1453 0.0000 0.3336
```

---

[3]
Starting from a DFT-relaxed cell (GGA-PBE, Alexandria), the XRD peak list of Ca2WCl2 was computed for Cu Kα (weighted mean of Kα1 and Kα2).
Kinematic intensities with the Lorentz-polarization factor, no thermal factor.

Main lines, most intense first (10° ≤ 2θ ≤ 90°):
2θ/deg  d_spacing  I (rel.)
27.8  3.213  100
31.2  2.868  77
21.0  4.240  47
49.8  1.830  39
38.1  2.361  39
40.5  2.226  34
28.4  3.148  29
56.9  1.619  24

Structural model:
```
data_Ca2WCl2
_cell_length_a 4.4516
_cell_length_b 4.4516
_cell_length_c 13.9223
_cell_angle_alpha 90.00
_cell_angle_beta 90.00
_cell_angle_gamma 90.00
_space_group_name_H-M_alt 'I 4/m m m'
_space_group_IT_number 139
_space_group_name_Hall '-I 4 2'
loop_
_atom_site_label
_atom_site_type_symbol
_atom_site_fract_x
_atom_site_fract_y
_atom_site_fract_z
Ca1 Ca 0.0000 0.0000 0.1285
W1 W 0.0000 0.0000 0.5000
Cl1 Cl 0.0000 0.5000 0.2500
```

---

[4]
Starting from a DFT-relaxed cell (GGA-PBE, Alexandria), the XRD peak list of CaWCl was computed for Cu Kα (weighted mean of Kα1 and Kα2).
Kinematic intensities with the Lorentz-polarization factor, no thermal factor.

Main lines, most intense first (10° ≤ 2θ ≤ 90°):
2θ/deg  d_spacing  I (rel.)
34.8  2.581  100
11.4  7.728  78
30.5  2.929  49
23.0  3.864  37
42.1  2.147  22
51.5  1.775  17
42.8  2.115  14
43.0  2.104  13

Structural model:
```
data_CaWCl
_cell_length_a 4.2078
_cell_length_b 4.2303
_cell_length_c 15.4565
_cell_angle_alpha 90.00
_cell_angle_beta 90.00
_cell_angle_gamma 90.00
_space_group_name_H-M_alt 'F m m 2'
_space_group_IT_number 42
_space_group_name_Hall 'F 2 -2'
loop_
_atom_site_label
_atom_site_type_symbol
_atom_site_fract_x
_atom_site_fract_y
_atom_site_fract_z
Ca1 Ca 0.0000 0.0000 0.0000
W1 W 0.0000 0.0000 0.3381
Cl1 Cl 0.0000 0.0000 0.6102
```

---

[5]
Starting from a DFT-relaxed cell (GGA-PBE, Alexandria), the XRD peak list of CaZn3Cl was computed for Cu Kα (weighted mean of Kα1 and Kα2).
Kinematic intensities with the Lorentz-polarization factor, no thermal factor.

Main lines, most intense first (10° ≤ 2θ ≤ 90°):
2θ/deg  d_spacing  I (rel.)
29.9  2.993  100
34.6  2.592  89
49.8  1.833  60
59.1  1.563  41
17.1  5.183  26
83.4  1.159  24
62.0  1.496  20
80.8  1.189  15

Structural model:
```
data_CaZn3Cl
_cell_length_a 5.1834
_cell_length_b 5.1834
_cell_length_c 5.1834
_cell_angle_alpha 90.00
_cell_angle_beta 90.00
_cell_angle_gamma 90.00
_space_group_name_H-M_alt 'P m -3 m'
_space_group_IT_number 221
_space_group_name_Hall '-P 4 2 3'
loop_
_atom_site_label
_atom_site_type_symbol
_atom_site_fract_x
_atom_site_fract_y
_atom_site_fract_z
Ca1 Ca 0.0000 0.0000 0.0000
Zn1 Zn 0.0000 0.5000 0.5000
Cl1 Cl 0.5000 0.5000 0.5000
```

---

[6]
Starting from a DFT-relaxed cell (GGA-PBE, Alexandria), the XRD peak list of Ca2Co17 was computed for Cu Kα (weighted mean of Kα1 and Kα2).
Kinematic intensities with the Lorentz-polarization factor, no thermal factor.

Main lines, most intense first (10° ≤ 2θ ≤ 90°):
2θ/deg  d_spacing  I (rel.)
49.2  1.852  100
43.8  2.067  94
43.5  2.083  67
14.3  6.202  42
44.8  2.023  39
50.1  1.820  32
38.8  2.322  29
37.4  2.405  26

Structural model:
```
data_Ca2Co17
_cell_length_a 8.3304
_cell_length_b 8.3304
_cell_length_c 12.1377
_cell_angle_alpha 90.00
_cell_angle_beta 90.00
_cell_angle_gamma 120.00
_space_group_name_H-M_alt 'R -3 m'
_space_group_IT_number 166
_space_group_name_Hall '-R 3 2"'
loop_
_atom_site_label
_atom_site_type_symbol
_atom_site_fract_x
_atom_site_fract_y
_atom_site_fract_z
Ca1 Ca 0.0000 0.0000 0.1545
Co1 Co 0.0000 0.0000 0.4036
Co2 Co 0.0000 0.2879 0.5000
Co3 Co 0.0000 0.5000 0.0000
Co4 Co 0.0054 0.5027 0.3459
```

---

[7]
Starting from a DFT-relaxed cell (GGA-PBE, Alexandria), the XRD peak list of Ca4Co was computed for Cu Kα (weighted mean of Kα1 and Kα2).
Kinematic intensities with the Lorentz-polarization factor, no thermal factor.

Main lines, most intense first (10° ≤ 2θ ≤ 90°):
2θ/deg  d_spacing  I (rel.)
31.2  2.870  100
13.7  6.451  92
12.3  7.186  80
37.8  2.383  67
29.1  3.066  59
36.1  2.486  54
42.0  2.149  40
39.8  2.264  26

Structural model:
```
data_Ca4Co
_cell_length_a 7.2188
_cell_length_b 14.3714
_cell_length_c 6.3548
_cell_angle_alpha 90.00
_cell_angle_beta 90.00
_cell_angle_gamma 90.00
_space_group_name_H-M_alt 'I b a m'
_space_group_IT_number 72
_space_group_name_Hall '-I 2 2c'
loop_
_atom_site_label
_atom_site_type_symbol
_atom_site_fract_x
_atom_site_fract_y
_atom_site_fract_z
Ca1 Ca 0.1443 0.1622 0.0000
Ca2 Ca 0.1991 0.4278 0.0000
Co1 Co 0.0000 0.0000 0.2500
```

---

[8]
Starting from a DFT-relaxed cell (GGA-PBE, Alexandria), the XRD peak list of Ca7Co was computed for Cu Kα (weighted mean of Kα1 and Kα2).
Kinematic intensities with the Lorentz-polarization factor, no thermal factor.

Main lines, most intense first (10° ≤ 2θ ≤ 90°):
2θ/deg  d_spacing  I (rel.)
29.4  3.033  100
34.1  2.627  50
58.2  1.584  37
49.0  1.858  32
79.5  1.205  14
82.0  1.175  12
61.1  1.517  10
71.9  1.314  5

Structural model:
```
data_Ca7Co
_cell_length_a 10.5081
_cell_length_b 10.5081
_cell_length_c 10.5081
_cell_angle_alpha 90.00
_cell_angle_beta 90.00
_cell_angle_gamma 90.00
_space_group_name_H-M_alt 'F m -3 m'
_space_group_IT_number 225
_space_group_name_Hall '-F 4 2 3'
loop_
_atom_site_label
_atom_site_type_symbol
_atom_site_fract_x
_atom_site_fract_y
_atom_site_fract_z
Ca1 Ca 0.0000 0.0000 0.0000
Ca2 Ca 0.0000 0.2500 0.2500
Co1 Co 0.0000 0.0000 0.5000
```